Sc5In4Ni2: calculated XRD peak list (Cu Kα, 1.54184 Å), based on a cell relaxed with GGA-PBE.
Peak positions follow from Bragg's law for the DFT cell and can differ from measured ones.

Structure:
```
data_Sc5In4Ni2
_chemical_formula_sum 'Sc10 In8 Ni4'
_symmetry_space_group_name_H-M 'P b a m'
_symmetry_Int_Tables_number 55
_symmetry_space_group_name_Hall '-P 2 2ab'
_cell_length_a 7.5923
_cell_length_b 17.2308
_cell_length_c 3.3867
_cell_angle_alpha 90.00
_cell_angle_beta 90.00
_cell_angle_gamma 90.00
loop_
_atom_site_label
_atom_site_fract_x
_atom_site_fract_y
_atom_site_fract_z
Sc1 0.0000 0.0000 0.0000
Sc2 0.1229 0.4126 0.0000
Sc3 0.2453 0.7207 0.0000
In1 0.0705 0.8485 0.5000
In2 0.2011 0.5670 0.5000
Ni1 0.0406 0.3048 0.5000
```

The 6 most intense peaks (2θ = 10–90°), low angle first:
26.32°, 3.387 Å, rel. 32, hkl 0 0 1
35.74°, 2.512 Å, rel. 76, hkl 1 4 1
35.89°, 2.502 Å, rel. 29, hkl 3 1 0
37.05°, 2.426 Å, rel. 100, hkl 3 2 0
38.44°, 2.342 Å, rel. 34, hkl 1 7 0
38.93°, 2.313 Å, rel. 33, hkl 2 3 1